The following is a calculated XRD peak list of MnSbPbO6. It was derived from a crystal structure in Alexandria, relaxed with GGA+U, using Cu Kα (λ = 1.5418 Å).
Kinematic intensities with the Lorentz-polarization factor, no thermal factor.

The 10 most intense peaks (15° ≤ 2θ ≤ 90°), by intensity:
2θ (°)  Rel. int.  (hkl)
27.67  100  1 0 2
33.12  72  1 1 0
38.99  67  1 1 2
53.37  60  1 1 4
19.99  54  0 0 2
43.68  29  2 0 2
18.94  28  1 0 0
55.90  28  2 1 2
59.16  26  3 0 0
83.73  16  4 -2 4

Atomic structure:
Cell: 5.4099 5.4099 8.8842 Å, 90.00 90.00 120.00°
Atoms (fractional coordinates):
1 Mn 0.0000 0.0000 0.0000
2 Mn 0.0000 0.0000 0.5000
3 Sb 0.3333 0.6667 0.2500
4 Sb 0.6667 0.3333 0.7500
5 Pb 0.3333 0.6667 0.7500
6 Pb 0.6667 0.3333 0.2500
7 O 0.0250 0.3487 0.1252
8 O 0.0250 0.6763 0.3748
9 O 0.3237 0.3487 0.3748
10 O 0.3237 0.9750 0.1252
11 O 0.3487 0.0250 0.6252
12 O 0.3487 0.3237 0.8748
13 O 0.6513 0.6763 0.1252
14 O 0.6513 0.9750 0.3748
15 O 0.6763 0.0250 0.8748
16 O 0.6763 0.6513 0.6252
17 O 0.9750 0.3237 0.6252
18 O 0.9750 0.6513 0.8748